No. 1
Calculated PXRD pattern
Compound: AlH15O6F6
Radiation: λ = 1.5418 Å (Cu Kα)
Structure: a DFT-relaxed cell (PBE, Alexandria)
Peak positions follow from Bragg's law for the DFT cell and can differ from measured ones.

The 6 most intense peaks (10° ≤ 2θ ≤ 80°), in order of rising 2θ:
2θ/deg, d (Å), I/Imax
14.33, 6.182, 98
14.55, 6.088, 44
17.49, 5.072, 58
17.77, 4.992, 100
22.85, 3.892, 99
29.35, 3.043, 38

Atomic structure:
Cell: 8.1986 8.1991 8.2064 Å, 76.38 75.05 74.99°
Element x y z (fractional)
Al  0.0000  0.0000  0.0000
Al  0.5000  0.5000  0.5000
H  0.0490  0.7066  0.8165
H  0.0638  0.4184  0.2525
H  0.1298  0.1352  0.6349
H  0.1321  0.6309  0.1344
H  0.1328  0.6355  0.6295
H  0.1881  0.9500  0.2960
H  0.2002  0.5532  0.3141
H  0.2487  0.0726  0.4306
H  0.3000  0.1856  0.9472
H  0.3105  0.2065  0.5518
H  0.3669  0.8705  0.8641
H  0.3684  0.3651  0.8692
H  0.3684  0.8672  0.3676
H  0.4367  0.2474  0.0824
H  0.4508  0.6832  0.7930
H  0.5492  0.3168  0.2070
H  0.5633  0.7526  0.9176
H  0.6316  0.1328  0.6324
H  0.6316  0.6349  0.1308
H  0.6331  0.1295  0.1359
H  0.6895  0.7935  0.4482
H  0.7000  0.8144  0.0528
H  0.7513  0.9274  0.5694
H  0.7998  0.4468  0.6859
H  0.8119  0.0500  0.7040
H  0.8672  0.3645  0.3705
H  0.8679  0.3691  0.8656
H  0.8702  0.8648  0.3651
H  0.9362  0.5816  0.7475
H  0.9510  0.2934  0.1835
O  0.0249  0.6742  0.7152
O  0.1672  0.5253  0.2170
O  0.2115  0.1730  0.5275
O  0.2862  0.9746  0.3305
O  0.3333  0.2826  0.9748
O  0.4748  0.7848  0.8253
O  0.5252  0.2152  0.1747
O  0.6667  0.7174  0.0252
O  0.7138  0.0254  0.6695
O  0.7885  0.8270  0.4725
O  0.8328  0.4747  0.7830
O  0.9751  0.3258  0.2848
F  0.0307  0.9287  0.2213
F  0.0709  0.7755  0.9688
F  0.2252  0.0249  0.9242
F  0.2748  0.5758  0.4750
F  0.4291  0.5309  0.7244
F  0.4697  0.2783  0.5708
F  0.5303  0.7217  0.4292
F  0.5709  0.4691  0.2756
F  0.7252  0.4242  0.5250
F  0.7748  0.9751  0.0758
F  0.9291  0.2245  0.0312
F  0.9693  0.0713  0.7787

No. 2
Calculated PXRD pattern
Compound: AlH2Pb3OF9
Radiation: λ = 1.5418 Å (Cu Kα)
Structure: a DFT-relaxed cell (PBE, Alexandria)
Peak positions follow from Bragg's law for the DFT cell and can differ from measured ones.

The 6 most intense peaks (10° ≤ 2θ ≤ 80°), in order of rising 2θ:
2θ/deg, d (Å), I/Imax
24.01, 3.707, 83
24.90, 3.576, 74
26.46, 3.368, 77
27.90, 3.198, 100
28.22, 3.162, 54
29.99, 2.979, 44

Atomic structure:
Cell: 5.7461 5.9735 12.8519 Å, 99.41 93.87 90.38°
Element x y z (fractional)
Al  0.1943  0.3771  0.1903
Al  0.8057  0.6229  0.8097
H  0.1728  0.7521  0.9834
H  0.4038  0.6673  0.9282
H  0.5962  0.3327  0.0718
H  0.8272  0.2479  0.0166
Pb  0.2497  0.9390  0.3800
Pb  0.2694  0.5117  0.6149
Pb  0.3183  0.1245  0.8672
Pb  0.6817  0.8755  0.1328
Pb  0.7306  0.4883  0.3851
Pb  0.7503  0.0610  0.6200
O  0.3410  0.7895  0.9807
O  0.6590  0.2105  0.0193
F  0.0036  0.2502  0.4978
F  0.0309  0.6369  0.1902
F  0.0590  0.7726  0.7693
F  0.1185  0.2726  0.0514
F  0.2755  0.4886  0.3319
F  0.3487  0.1423  0.6755
F  0.3656  0.1224  0.2075
F  0.4648  0.5084  0.1566
F  0.4966  0.7606  0.5119
F  0.5034  0.2394  0.4881
F  0.5352  0.4916  0.8434
F  0.6344  0.8776  0.7925
F  0.6513  0.8577  0.3245
F  0.7245  0.5114  0.6681
F  0.8815  0.7274  0.9486
F  0.9410  0.2274  0.2307
F  0.9691  0.3631  0.8098
F  0.9964  0.7498  0.5022

No. 3
Calculated PXRD pattern
Compound: AlH2PbO2F3
Radiation: λ = 1.5418 Å (Cu Kα)
Structure: a DFT-relaxed cell (PBE, Alexandria)
Peak positions follow from Bragg's law for the DFT cell and can differ from measured ones.

The 6 most intense peaks (10° ≤ 2θ ≤ 80°), in order of rising 2θ:
2θ/deg, d (Å), I/Imax
19.85, 4.474, 100
21.78, 4.081, 50
22.63, 3.930, 84
26.85, 3.321, 40
27.38, 3.258, 52
30.16, 2.963, 54

Atomic structure:
Cell: 5.0467 6.4542 6.9353 Å, 104.98 90.60 107.48°
Element x y z (fractional)
Al  0.1596  0.1883  0.1726
Al  0.8404  0.8117  0.8274
H  0.2735  0.8218  0.0297
H  0.2730  0.8539  0.6427
H  0.7270  0.1461  0.3573
H  0.7265  0.1782  0.9703
Pb  0.2008  0.3049  0.6933
Pb  0.7992  0.6951  0.3067
O  0.0999  0.8958  0.6420
O  0.1048  0.8698  0.0533
O  0.8952  0.1302  0.9467
O  0.9001  0.1042  0.3580
F  0.1783  0.4834  0.2636
F  0.4312  0.2159  0.3648
F  0.4430  0.2624  0.0117
F  0.5570  0.7376  0.9883
F  0.5688  0.7841  0.6352
F  0.8217  0.5166  0.7364

> Number 3 is which compound?

AlH2PbO2F3